Computed XRD peak list of Pr6NdSm8 for Cu Kα, from a cell relaxed with PBE.

Largest 10 diffraction maxima, by angle, 2θ = 10–80°:
| h k l | d_spacing | two_theta | intensity |
| --- | --- | --- | --- |
| 1 2 0 | 3.297 | 27.0 | 20 |
| 0 0 2 | 3.019 | 29.6 | 22 |
| 1 2 1 | 2.894 | 30.9 | 100 |
| 3 -1 2 | 2.226 | 40.5 | 21 |
| 4 1 0 | 1.904 | 47.8 | 19 |
| 1 2 3 | 1.718 | 53.3 | 18 |
| 4 1 2 | 1.610 | 57.2 | 16 |
| 6 -2 1 | 1.590 | 58.0 | 15 |
| 2 4 2 | 1.447 | 64.4 | 6 |
| 0 7 1 | 1.220 | 78.3 | 8 |

Crystal structure
```
data_Pr6NdSm8
_chemical_formula_sum 'Pr6 Nd1 Sm8'
_space_group_name_H-M_alt 'P -3'
_space_group_IT_number 147
_cell_length_a 10.0727
_cell_length_b 10.0727
_cell_length_c 6.0372
_cell_angle_alpha 90.00
_cell_angle_beta 90.00
_cell_angle_gamma 120.00
loop_
_space_group_symop_operation_xyz
'x,y,z'
'-x,-y,-z'
'-y,x-y,z'
'y,-x+y,-z'
'-x+y,-x,z'
'x-y,x,-z'
loop_
_atom_site_label
_atom_site_type_symbol
_atom_site_fract_x
_atom_site_fract_y
_atom_site_fract_z
Pr1 Pr 0.0904 0.6229 0.2588
Nd1 Nd 0.0000 0.0000 0.5000
Sm1 Sm 0.0521 0.7802 0.7762
Sm2 Sm 0.3333 0.6667 0.7773
```


Computed XRD peak list of Pr3NdSm8 for Cu Kα, from a cell relaxed with PBE.

Largest 10 diffraction maxima, by angle, 2θ = 10–80°:
| h k l | d_spacing | two_theta | intensity |
| --- | --- | --- | --- |
| -2 2 1 | 2.958 | 30.2 | 88 |
| 1 2 -2 | 2.912 | 30.7 | 100 |
| 2 0 0 | 2.853 | 31.4 | 49 |
| 1 0 -3 | 2.804 | 31.9 | 42 |
| 0 3 0 | 2.517 | 35.7 | 18 |
| 3 0 -3 | 2.000 | 45.4 | 32 |
| -4 2 1 | 1.667 | 55.1 | 16 |
| 3 -2 2 | 1.658 | 55.4 | 19 |
| 2 2 -5 | 1.631 | 56.4 | 17 |
| -1 5 1 | 1.524 | 60.8 | 29 |

Crystal structure
```
data_Pr3NdSm8
_chemical_formula_sum 'Pr3 Nd1 Sm8'
_space_group_name_H-M_alt 'P 1'
_space_group_IT_number 1
_cell_length_a 6.7310
_cell_length_b 8.6400
_cell_length_c 8.6421
_cell_angle_alpha 103.20
_cell_angle_beta 109.25
_cell_angle_gamma 109.24
loop_
_space_group_symop_operation_xyz
'x,y,z'
loop_
_atom_site_label
_atom_site_type_symbol
_atom_site_fract_x
_atom_site_fract_y
_atom_site_fract_z
Pr1 Pr 0.0000 0.0000 0.0000
Pr2 Pr 0.0000 0.2594 0.7398
Pr3 Pr 0.4988 0.1423 0.8563
Nd1 Nd 0.4960 0.8073 0.5192
Sm1 Sm 0.4980 0.8833 0.1149
Sm2 Sm 0.4994 0.5516 0.7811
Sm3 Sm 0.4996 0.2192 0.4473
Sm4 Sm 0.5029 0.4798 0.1902
Sm5 Sm 0.9985 0.5916 0.0734
Sm6 Sm 0.9976 0.6653 0.6648
Sm7 Sm 0.9990 0.3332 0.3328
Sm8 Sm 0.9988 0.9244 0.4053
```


Computed XRD peak list of Pr3Nd4Sm5 for Cu Kα, from a cell relaxed with PBE.

Largest 9 diffraction maxima, by angle, 2θ = 10–80°:
| h k l | d_spacing | two_theta | intensity |
| --- | --- | --- | --- |
| 2 0 1 | 2.995 | 29.8 | 100 |
| 1 2 2 | 2.594 | 34.6 | 51 |
| 3 2 0 | 1.834 | 49.7 | 36 |
| 1 2 5 | 1.565 | 59.0 | 25 |
| 3 2 3 | 1.563 | 59.1 | 18 |
| 4 0 2 | 1.498 | 61.9 | 9 |
| 2 4 -2 | 1.497 | 62.0 | 3 |
| 4 0 -4 | 1.298 | 72.9 | 4 |
| 2 4 4 | 1.296 | 73.0 | 2 |

Crystal structure
```
data_Pr3Nd4Sm5
_chemical_formula_sum 'Pr3 Nd4 Sm5'
_space_group_name_H-M_alt 'P -1'
_space_group_IT_number 2
_cell_length_a 6.3546
_cell_length_b 7.3293
_cell_length_c 8.9947
_cell_angle_alpha 90.01
_cell_angle_beta 90.07
_cell_angle_gamma 90.07
loop_
_space_group_symop_operation_xyz
'x,y,z'
'-x,-y,-z'
loop_
_atom_site_label
_atom_site_type_symbol
_atom_site_fract_x
_atom_site_fract_y
_atom_site_fract_z
Pr1 Pr 0.0000 0.0000 0.0000
Pr2 Pr 0.1672 0.7505 0.6672
Nd1 Nd 0.1674 0.2499 0.6672
Nd2 Nd 0.3330 0.4998 0.3319
Sm1 Sm 0.0000 0.5000 0.0000
Sm2 Sm 0.3343 0.9995 0.3325
Sm3 Sm 0.4994 0.2500 0.9998
```


Computed XRD peak list of PrNd6Sm for Cu Kα, from a cell relaxed with PBE.

Largest 10 diffraction maxima, by angle, 2θ = 10–80°:
| h k l | d_spacing | two_theta | intensity |
| --- | --- | --- | --- |
| 2 2 0 | 3.006 | 29.7 | 100 |
| 2 0 4 | 2.603 | 34.5 | 51 |
| 4 0 0 | 1.844 | 49.4 | 6 |
| 2 4 4 | 1.840 | 49.5 | 30 |
| 4 2 4 | 1.571 | 58.8 | 29 |
| 2 6 0 | 1.568 | 58.9 | 14 |
| 4 4 0 | 1.504 | 61.7 | 6 |
| 0 4 8 | 1.502 | 61.8 | 6 |
| 4 0 8 | 1.303 | 72.6 | 4 |
| 0 8 0 | 1.299 | 72.8 | 2 |

Crystal structure
```
data_PrNd6Sm
_chemical_formula_sum 'Pr4 Nd24 Sm4'
_space_group_name_H-M_alt 'F m m m'
_space_group_IT_number 69
_space_group_name_Hall '-F 2 2'
_cell_length_a 7.3780
_cell_length_b 10.3956
_cell_length_c 14.7188
_cell_angle_alpha 90.00
_cell_angle_beta 90.00
_cell_angle_gamma 90.00
loop_
_atom_site_label
_atom_site_type_symbol
_atom_site_fract_x
_atom_site_fract_y
_atom_site_fract_z
Pr1 Pr 0.0000 0.0000 0.0000
Nd1 Nd 0.0000 0.0000 0.2501
Nd2 Nd 0.2500 0.2500 0.1249
Sm1 Sm 0.0000 0.0000 0.5000
```


Computed XRD peak list of Pr2Nd3Sm4 for Cu Kα, from a cell relaxed with PBE.

Largest 10 diffraction maxima, by angle, 2θ = 10–80°:
| h k l | d_spacing | two_theta | intensity |
| --- | --- | --- | --- |
| 2 1 1 | 2.994 | 29.8 | 100 |
| 1 2 3 | 2.593 | 34.6 | 51 |
| 3 3 1 | 1.834 | 49.7 | 30 |
| -1 1 5 | 1.831 | 49.8 | 6 |
| 3 0 2 | 1.564 | 59.1 | 25 |
| 3 3 4 | 1.562 | 59.1 | 18 |
| 4 2 2 | 1.497 | 62.0 | 9 |
| -2 2 4 | 1.496 | 62.0 | 3 |
| 2 -2 2 | 1.298 | 72.9 | 2 |
| 2 4 6 | 1.295 | 73.0 | 4 |

Crystal structure
```
data_Pr2Nd3Sm4
_chemical_formula_sum 'Pr2 Nd3 Sm4'
_space_group_name_H-M_alt 'P -1'
_space_group_IT_number 2
_cell_length_a 6.3500
_cell_length_b 6.3512
_cell_length_c 9.6907
_cell_angle_alpha 70.98
_cell_angle_beta 89.97
_cell_angle_gamma 60.01
loop_
_space_group_symop_operation_xyz
'x,y,z'
'-x,-y,-z'
loop_
_atom_site_label
_atom_site_type_symbol
_atom_site_fract_x
_atom_site_fract_y
_atom_site_fract_z
Pr1 Pr 0.0557 0.2214 0.1675
Nd1 Nd 0.3891 0.5560 0.1677
Nd2 Nd 0.5000 0.0000 0.5000
Sm1 Sm 0.1668 0.6658 0.5000
Sm2 Sm 0.2778 0.1116 0.8325
```


Computed XRD peak list of PrNd4Sm2 for Cu Kα, from a cell relaxed with PBE.

Largest 10 diffraction maxima, by angle, 2θ = 10–80°:
| h k l | d_spacing | two_theta | intensity |
| --- | --- | --- | --- |
| 1 0 3 | 3.268 | 27.3 | 33 |
| 0 2 0 | 2.957 | 30.2 | 49 |
| 0 1 7 | 2.902 | 30.8 | 78 |
| 1 1 4 | 2.721 | 32.9 | 100 |
| 1 2 3 | 2.193 | 41.2 | 22 |
| 1 0 11 | 1.827 | 49.9 | 23 |
| 0 3 7 | 1.697 | 54.1 | 16 |
| 1 3 4 | 1.658 | 55.4 | 23 |
| 1 2 11 | 1.554 | 59.5 | 27 |
| 2 1 7 | 1.530 | 60.5 | 24 |

Crystal structure
```
data_PrNd4Sm2
_chemical_formula_sum 'Pr2 Nd8 Sm4'
_space_group_name_H-M_alt 'I m m m'
_space_group_IT_number 71
_space_group_name_Hall '-I 2 2'
_cell_length_a 3.6019
_cell_length_b 5.9146
_cell_length_c 23.3144
_cell_angle_alpha 90.00
_cell_angle_beta 90.00
_cell_angle_gamma 90.00
loop_
_atom_site_label
_atom_site_type_symbol
_atom_site_fract_x
_atom_site_fract_y
_atom_site_fract_z
Pr1 Pr 0.0000 0.0000 0.0000
Nd1 Nd 0.0000 0.5000 0.0852
Nd2 Nd 0.0000 0.5000 0.3625
Sm1 Sm 0.0000 0.0000 0.2754
```


Computed XRD peak list of Pr14NdSm for Cu Kα, from a cell relaxed with PBE.

Largest 10 diffraction maxima, by angle, 2θ = 10–80°:
| h k l | d_spacing | two_theta | intensity |
| --- | --- | --- | --- |
| 2 0 2 | 3.026 | 29.5 | 100 |
| 0 0 4 | 2.626 | 34.1 | 17 |
| 2 2 0 | 2.617 | 34.3 | 34 |
| 4 0 0 | 1.853 | 49.2 | 36 |
| 2 0 6 | 1.583 | 58.3 | 15 |
| 4 2 2 | 1.579 | 58.5 | 29 |
| 4 0 4 | 1.513 | 61.3 | 13 |
| 4 4 0 | 1.309 | 72.2 | 4 |
| 4 2 6 | 1.203 | 79.7 | 12 |
| 6 0 2 | 1.201 | 79.9 | 6 |

Crystal structure
```
data_Pr14NdSm
_chemical_formula_sum 'Pr14 Nd1 Sm1'
_space_group_name_H-M_alt 'P 4/m m m'
_space_group_IT_number 123
_space_group_name_Hall '-P 4 2'
_cell_length_a 7.4032
_cell_length_b 7.4032
_cell_length_c 10.5046
_cell_angle_alpha 90.00
_cell_angle_beta 90.00
_cell_angle_gamma 90.00
loop_
_atom_site_label
_atom_site_type_symbol
_atom_site_fract_x
_atom_site_fract_y
_atom_site_fract_z
Pr1 Pr 0.0000 0.0000 0.0000
Pr2 Pr 0.0000 0.5000 0.0000
Pr3 Pr 0.0000 0.5000 0.5000
Pr4 Pr 0.2503 0.2503 0.2510
Pr5 Pr 0.5000 0.5000 0.0000
Nd1 Nd 0.0000 0.0000 0.5000
Sm1 Sm 0.5000 0.5000 0.5000
```


Computed XRD peak list of PrNd3Sm2 for Cu Kα, from a cell relaxed with PBE.

Largest 10 diffraction maxima, by angle, 2θ = 10–80°:
| h k l | d_spacing | two_theta | intensity |
| --- | --- | --- | --- |
| 0 1 5 | 3.325 | 26.8 | 24 |
| 0 0 6 | 3.307 | 27.0 | 33 |
| 0 2 0 | 3.047 | 29.3 | 100 |
| 1 1 2 | 2.917 | 30.7 | 17 |
| 1 0 5 | 2.636 | 34.0 | 41 |
| 0 1 7 | 2.570 | 34.9 | 17 |
| 0 2 6 | 2.241 | 40.2 | 36 |
| 1 2 5 | 1.993 | 45.5 | 36 |
| 1 0 11 | 1.606 | 57.4 | 14 |
| 1 2 11 | 1.420 | 65.7 | 19 |

Crystal structure
```
data_PrNd3Sm2
_chemical_formula_sum 'Pr2 Nd6 Sm4'
_space_group_name_H-M_alt 'I m m m'
_space_group_IT_number 71
_space_group_name_Hall '-I 2 2'
_cell_length_a 3.5266
_cell_length_b 6.0867
_cell_length_c 19.8448
_cell_angle_alpha 90.00
_cell_angle_beta 90.00
_cell_angle_gamma 90.00
loop_
_atom_site_label
_atom_site_type_symbol
_atom_site_fract_x
_atom_site_fract_y
_atom_site_fract_z
Pr1 Pr 0.0000 0.0000 0.0000
Nd1 Nd 0.0000 0.0000 0.1900
Nd2 Nd 0.0000 0.5000 0.0000
Sm1 Sm 0.0000 0.0000 0.3610
```


Computed XRD peak list of PrNd3Sm for Cu Kα, from a cell relaxed with PBE.

Largest 10 diffraction maxima, by angle, 2θ = 10–80°:
| h k l | d_spacing | two_theta | intensity |
| --- | --- | --- | --- |
| 1 1 2 | 3.094 | 28.9 | 89 |
| 1 2 1 | 2.915 | 30.7 | 100 |
| 0 2 2 | 2.822 | 31.7 | 21 |
| 2 0 0 | 2.770 | 32.3 | 46 |
| 0 1 3 | 2.679 | 33.5 | 17 |
| 1 0 3 | 2.548 | 35.2 | 23 |
| 0 3 3 | 1.881 | 48.4 | 20 |
| 3 2 1 | 1.626 | 56.6 | 18 |
| 2 3 3 | 1.556 | 59.4 | 22 |
| 1 2 5 | 1.505 | 61.6 | 29 |

Crystal structure
```
data_PrNd3Sm
_chemical_formula_sum 'Pr2 Nd6 Sm2'
_space_group_name_H-M_alt 'P m m n'
_space_group_IT_number 59
_cell_length_a 5.5394
_cell_length_b 7.4734
_cell_length_c 8.6080
_cell_angle_alpha 90.00
_cell_angle_beta 90.00
_cell_angle_gamma 90.00
loop_
_space_group_symop_operation_xyz
'x,y,z'
'-x,-y,-z'
'-x+1/2,-y+1/2,z'
'x+1/2,y+1/2,-z'
'x+1/2,-y,-z'
'-x+1/2,y,z'
'-x,y+1/2,-z'
'x,-y+1/2,z'
loop_
_atom_site_label
_atom_site_type_symbol
_atom_site_fract_x
_atom_site_fract_y
_atom_site_fract_z
Pr1 Pr 0.2500 0.2500 0.2367
Nd1 Nd 0.2500 0.0402 0.7544
Nd2 Nd 0.2500 0.7500 0.4469
Sm1 Sm 0.2500 0.7500 0.0611
```


Computed XRD peak list of Pr3NdSm7 for Cu Kα, from a cell relaxed with PBE.

Largest 10 diffraction maxima, by angle, 2θ = 10–80°:
| h k l | d_spacing | two_theta | intensity |
| --- | --- | --- | --- |
| 0 0 1 | 8.837 | 10.0 | 4 |
| 1 0 0 | 6.264 | 14.1 | 4 |
| 1 0 1 | 5.110 | 17.4 | 4 |
| 0 2 1 | 2.950 | 30.3 | 100 |
| 2 0 2 | 2.555 | 35.1 | 51 |
| 2 2 0 | 1.807 | 50.5 | 36 |
| 4 0 1 | 1.541 | 60.0 | 32 |
| 2 0 5 | 1.539 | 60.1 | 11 |
| 0 4 2 | 1.476 | 63.0 | 9 |
| 4 0 4 | 1.278 | 74.2 | 6 |

Crystal structure
```
data_Pr3NdSm7
_chemical_formula_sum 'Pr3 Nd1 Sm7'
_space_group_name_H-M_alt 'P 3 m 1'
_space_group_IT_number 156
_cell_length_a 7.2330
_cell_length_b 7.2330
_cell_length_c 8.8369
_cell_angle_alpha 90.00
_cell_angle_beta 90.00
_cell_angle_gamma 120.00
loop_
_space_group_symop_operation_xyz
'x,y,z'
'-y,x-y,z'
'-x+y,-x,z'
'-y,-x,z'
'-x+y,y,z'
'x,x-y,z'
loop_
_atom_site_label
_atom_site_type_symbol
_atom_site_fract_x
_atom_site_fract_y
_atom_site_fract_z
Pr1 Pr 0.9996 0.4998 0.0000
Nd1 Nd 0.3333 0.6667 0.6592
Sm1 Sm 0.1671 0.3342 0.3340
Sm2 Sm 0.3346 0.1673 0.6646
Sm3 Sm 0.6667 0.3333 0.3400
```


Computed XRD peak list of Pr2Nd2Sm7 for Cu Kα, from a cell relaxed with PBE.

Largest 10 diffraction maxima, by angle, 2θ = 10–80°:
| h k l | d_spacing | two_theta | intensity |
| --- | --- | --- | --- |
| 3 1 0 | 3.019 | 29.6 | 39 |
| 2 2 1 | 2.961 | 30.2 | 100 |
| 1 3 -1 | 2.909 | 30.7 | 54 |
| 2 2 -2 | 2.854 | 31.3 | 55 |
| 0 0 3 | 2.756 | 32.5 | 39 |
| 3 1 -2 | 2.741 | 32.7 | 25 |
| 0 4 0 | 2.389 | 37.6 | 20 |
| 4 0 2 | 1.886 | 48.2 | 15 |
| 3 5 0 | 1.638 | 56.1 | 24 |
| 2 2 -5 | 1.592 | 57.9 | 20 |

Crystal structure
```
data_Pr2Nd2Sm7
_chemical_formula_sum 'Pr4 Nd4 Sm14'
_space_group_name_H-M_alt 'C 1 2/m 1'
_space_group_IT_number 12
_cell_length_a 9.8087
_cell_length_b 9.5603
_cell_length_c 8.4993
_cell_angle_alpha 90.00
_cell_angle_beta 103.39
_cell_angle_gamma 90.00
loop_
_space_group_symop_operation_xyz
'x,y,z'
'-x,-y,-z'
'-x,y,-z'
'x,-y,z'
'x+1/2,y+1/2,z'
'-x+1/2,-y+1/2,-z'
'-x+1/2,y+1/2,-z'
'x+1/2,-y+1/2,z'
loop_
_atom_site_label
_atom_site_type_symbol
_atom_site_fract_x
_atom_site_fract_y
_atom_site_fract_z
Pr1 Pr 0.0998 0.0000 0.3419
Nd1 Nd 0.0000 0.3139 0.0000
Sm1 Sm 0.0000 0.5000 0.5000
Sm2 Sm 0.1950 0.0000 0.0109
Sm3 Sm 0.1953 0.2052 0.6784
```


Computed XRD peak list of Pr3Nd5Sm4 for Cu Kα, from a cell relaxed with PBE.

Largest 8 diffraction maxima, by angle, 2θ = 10–80°:
| h k l | d_spacing | two_theta | intensity |
| --- | --- | --- | --- |
| 2 0 1 | 2.999 | 29.8 | 100 |
| 1 2 2 | 2.597 | 34.5 | 51 |
| 3 2 0 | 1.836 | 49.6 | 36 |
| 3 2 3 | 1.567 | 59.0 | 29 |
| 2 4 1 | 1.565 | 59.0 | 14 |
| 4 0 2 | 1.499 | 61.9 | 12 |
| 4 0 -4 | 1.300 | 72.8 | 2 |
| 2 4 4 | 1.298 | 72.9 | 4 |

Crystal structure
```
data_Pr3Nd5Sm4
_chemical_formula_sum 'Pr3 Nd5 Sm4'
_space_group_name_H-M_alt 'P -1'
_space_group_IT_number 2
_cell_length_a 6.3635
_cell_length_b 7.3368
_cell_length_c 9.0023
_cell_angle_alpha 90.01
_cell_angle_beta 90.07
_cell_angle_gamma 90.02
loop_
_space_group_symop_operation_xyz
'x,y,z'
'-x,-y,-z'
loop_
_atom_site_label
_atom_site_type_symbol
_atom_site_fract_x
_atom_site_fract_y
_atom_site_fract_z
Pr1 Pr 0.0000 0.0000 0.0000
Pr2 Pr 0.1663 0.7488 0.6654
Nd1 Nd 0.0000 0.5000 0.0000
Nd2 Nd 0.3336 0.9997 0.3340
Nd3 Nd 0.4995 0.2514 0.9999
Sm1 Sm 0.1675 0.2515 0.6661
Sm2 Sm 0.3335 0.5001 0.3340
```


Computed XRD peak list of Pr2Nd6Sm for Cu Kα, from a cell relaxed with PBE.

Largest 10 diffraction maxima, by angle, 2θ = 10–80°:
| h k l | d_spacing | two_theta | intensity |
| --- | --- | --- | --- |
| 1 1 0 | 3.333 | 26.7 | 51 |
| 0 3 3 | 2.986 | 29.9 | 99 |
| 0 0 6 | 2.948 | 30.3 | 53 |
| 1 2 3 | 2.612 | 34.3 | 100 |
| 1 1 6 | 2.208 | 40.9 | 33 |
| 1 5 0 | 1.789 | 51.0 | 23 |
| 0 3 9 | 1.709 | 53.6 | 19 |
| 1 2 9 | 1.629 | 56.5 | 24 |
| 1 5 6 | 1.529 | 60.5 | 27 |
| 2 3 3 | 1.516 | 61.1 | 26 |

Crystal structure
```
data_Pr2Nd6Sm
_chemical_formula_sum 'Pr4 Nd12 Sm2'
_space_group_name_H-M_alt 'I m m m'
_space_group_IT_number 71
_space_group_name_Hall '-I 2 2'
_cell_length_a 3.5191
_cell_length_b 10.3880
_cell_length_c 17.6893
_cell_angle_alpha 90.00
_cell_angle_beta 90.00
_cell_angle_gamma 90.00
loop_
_atom_site_label
_atom_site_type_symbol
_atom_site_fract_x
_atom_site_fract_y
_atom_site_fract_z
Pr1 Pr 0.0000 0.0000 0.1666
Nd1 Nd 0.0000 0.1870 0.3337
Nd2 Nd 0.0000 0.1901 0.0000
Sm1 Sm 0.0000 0.0000 0.5000
```